# 1
Structure and simulated powder diffractogram of Li9Mn2Co5O16 (a crystal structure in the Materials Project, relaxed with PBE+U; Cu Kα (λ = 1.5418 Å)).
No peak broadening, texture or thermal motion is included.

Structural model:
Lattice parameters (Å, degrees): 6.5670 6.6534 7.6901 65.14 75.26 72.18
Sites, in units of the cell vectors:
Li (0.0000, 0.0000, 0.0000)
Li (0.0573, 0.4355, 0.6921)
Li (0.1855, 0.3050, 0.0670)
Li (0.3100, 0.1894, 0.4343)
Li (0.4339, 0.0547, 0.8219)
Li (0.5706, 0.9437, 0.1812)
Li (0.6926, 0.8075, 0.5669)
Li (0.8147, 0.6933, 0.9368)
Li (0.9402, 0.5632, 0.3126)
Mn (0.2479, 0.7499, 0.7521)
Mn (0.5044, 0.4989, 0.5025)
Co (0.1255, 0.8793, 0.3661)
Co (0.3675, 0.6230, 0.1261)
Co (0.6404, 0.3656, 0.8827)
Co (0.7541, 0.2376, 0.2485)
Co (0.8774, 0.1235, 0.6286)
O (0.0181, 0.2045, 0.3630)
O (0.1162, 0.6543, 0.0212)
O (0.1541, 0.0627, 0.7161)
O (0.2376, 0.5331, 0.4089)
O (0.2788, 0.9552, 0.1150)
O (0.3575, 0.4264, 0.7699)
O (0.4024, 0.8157, 0.4866)
O (0.4743, 0.2874, 0.1527)
O (0.5107, 0.7157, 0.8459)
O (0.6003, 0.1844, 0.5319)
O (0.6418, 0.5787, 0.2333)
O (0.7273, 0.0496, 0.8830)
O (0.7623, 0.4738, 0.5909)
O (0.8383, 0.9258, 0.2885)
O (0.8893, 0.3520, 0.9683)
O (0.9957, 0.7745, 0.6525)

Principal peaks in the range 10° ≤ 2θ ≤ 90°, by intensity:
Position (°2θ)	I (rel.)
18.31	100
43.03	29
43.70	27
43.94	27
62.77	15
35.68	15
36.06	13
36.24	13
37.61	11
47.51	9

# 2
Structure and simulated powder diffractogram of Mg2FeO4 (a crystal structure in the Materials Project, relaxed with PBE+U; Cu Kα (λ = 1.5418 Å)).
No peak broadening, texture or thermal motion is included.

Structural model:
Lattice parameters (Å, degrees): 5.1629 5.9187 11.0265 90.00 117.86 90.00
Sites, in units of the cell vectors:
Mg (0.0043, 0.1148, 0.2459)
Mg (0.0043, 0.3852, 0.7459)
Mg (0.2920, 0.6296, 0.5389)
Mg (0.2920, 0.8704, 0.0389)
Mg (0.7080, 0.1296, 0.9611)
Mg (0.7080, 0.3704, 0.4611)
Mg (0.9957, 0.6148, 0.2541)
Mg (0.9957, 0.8852, 0.7541)
Fe (0.2711, 0.1307, 0.5285)
Fe (0.2711, 0.3693, 0.0285)
Fe (0.7289, 0.6307, 0.9715)
Fe (0.7289, 0.8693, 0.4715)
O (0.1811, 0.1384, 0.1153)
O (0.1811, 0.3616, 0.6153)
O (0.1840, 0.6020, 0.1199)
O (0.1840, 0.8980, 0.6199)
O (0.2651, 0.1411, 0.8924)
O (0.2651, 0.3589, 0.3924)
O (0.2935, 0.6208, 0.8924)
O (0.2935, 0.8792, 0.3924)
O (0.7065, 0.1208, 0.6076)
O (0.7065, 0.3792, 0.1076)
O (0.7349, 0.6411, 0.6076)
O (0.7349, 0.8589, 0.1076)
O (0.8160, 0.1020, 0.3801)
O (0.8160, 0.3980, 0.8801)
O (0.8189, 0.6384, 0.3847)
O (0.8189, 0.8616, 0.8847)

Principal peaks in the range 10° ≤ 2θ ≤ 90°, by intensity:
Position (°2θ)	I (rel.)
18.20	100
51.72	72
39.69	62
34.95	53
32.56	46
62.42	37
39.48	36
24.64	35
51.56	34
17.53	33

# 3
Structure and simulated powder diffractogram of Mn4Be3Si3TeO12 (a crystal structure in the Materials Project, relaxed with PBE+U; Cu Kα (λ = 1.5418 Å)).
No peak broadening, texture or thermal motion is included.

Structural model:
Lattice parameters (Å, degrees): 8.5258 8.5258 8.5258 90.00 90.00 90.00
Sites, in units of the cell vectors:
Mn (0.1880, 0.1880, 0.1880)
Mn (0.1880, 0.8120, 0.8120)
Mn (0.3120, 0.3120, 0.6880)
Mn (0.3120, 0.6880, 0.3120)
Mn (0.6880, 0.3120, 0.3120)
Mn (0.6880, 0.6880, 0.6880)
Mn (0.8120, 0.1880, 0.8120)
Mn (0.8120, 0.8120, 0.1880)
Be (0.0000, 0.2500, 0.5000)
Be (0.0000, 0.7500, 0.5000)
Be (0.2500, 0.5000, 0.0000)
Be (0.5000, 0.0000, 0.2500)
Be (0.5000, 0.0000, 0.7500)
Be (0.7500, 0.5000, 0.0000)
Si (0.0000, 0.5000, 0.2500)
Si (0.0000, 0.5000, 0.7500)
Si (0.2500, 0.0000, 0.5000)
Si (0.5000, 0.2500, 0.0000)
Si (0.5000, 0.7500, 0.0000)
Si (0.7500, 0.0000, 0.5000)
Te (0.0000, 0.0000, 0.0000)
Te (0.5000, 0.5000, 0.5000)
O (0.0727, 0.3554, 0.6446)
O (0.0727, 0.6446, 0.3554)
O (0.1446, 0.1446, 0.4273)
O (0.1446, 0.4273, 0.1446)
O (0.1446, 0.5727, 0.8554)
O (0.1446, 0.8554, 0.5727)
O (0.3554, 0.0727, 0.6446)
O (0.3554, 0.3554, 0.9273)
O (0.3554, 0.6446, 0.0727)
O (0.3554, 0.9273, 0.3554)
O (0.4273, 0.1446, 0.1446)
O (0.4273, 0.8554, 0.8554)
O (0.5727, 0.1446, 0.8554)
O (0.5727, 0.8554, 0.1446)
O (0.6446, 0.0727, 0.3554)
O (0.6446, 0.3554, 0.0727)
O (0.6446, 0.6446, 0.9273)
O (0.6446, 0.9273, 0.6446)
O (0.8554, 0.1446, 0.5727)
O (0.8554, 0.4273, 0.8554)
O (0.8554, 0.5727, 0.1446)
O (0.8554, 0.8554, 0.4273)
O (0.9273, 0.3554, 0.3554)
O (0.9273, 0.6446, 0.6446)

Principal peaks in the range 10° ≤ 2θ ≤ 90°, by intensity:
Position (°2θ)	I (rel.)
25.59	100
45.12	58
39.55	39
67.75	24
29.64	23
14.69	14
83.28	12
65.71	12
54.91	11
47.70	7

# 4
Structure and simulated powder diffractogram of K2CoO3 (a crystal structure in the Materials Project, relaxed with PBE+U; Cu Kα (λ = 1.5418 Å)).
No peak broadening, texture or thermal motion is included.

Structural model:
Lattice parameters (Å, degrees): 6.4495 6.4495 12.8073 90.00 90.00 126.08
Sites, in units of the cell vectors:
K (0.0576, 0.9424, 0.8601)
K (0.1354, 0.8646, 0.4240)
K (0.3646, 0.6354, 0.9240)
K (0.4424, 0.5576, 0.3601)
K (0.5576, 0.4424, 0.6399)
K (0.6354, 0.3646, 0.0760)
K (0.8646, 0.1354, 0.5760)
K (0.9424, 0.0576, 0.1399)
Co (0.2434, 0.7566, 0.6673)
Co (0.2566, 0.7434, 0.1673)
Co (0.7434, 0.2566, 0.8327)
Co (0.7566, 0.2434, 0.3327)
O (0.0332, 0.4668, 0.7500)
O (0.0937, 0.9063, 0.6377)
O (0.1652, 0.8348, 0.0563)
O (0.3348, 0.6652, 0.5563)
O (0.4063, 0.5937, 0.1377)
O (0.4668, 0.0332, 0.2500)
O (0.5332, 0.9668, 0.7500)
O (0.5937, 0.4063, 0.8623)
O (0.6652, 0.3348, 0.4437)
O (0.8348, 0.1652, 0.9437)
O (0.9063, 0.0937, 0.3623)
O (0.9668, 0.5332, 0.2500)

Principal peaks in the range 10° ≤ 2θ ≤ 90°, by intensity:
Position (°2θ)	I (rel.)
31.20	100
30.58	83
15.41	51
32.83	47
21.99	33
41.84	31
38.48	28
27.86	25
34.19	24
31.92	19

# 5
Structure and simulated powder diffractogram of Mg14CrBO16 (a crystal structure in the Materials Project, relaxed with PBE+U; Cu Kα (λ = 1.5418 Å)).
No peak broadening, texture or thermal motion is included.

Structural model:
Lattice parameters (Å, degrees): 4.2479 8.5223 8.5550 90.00 90.00 90.00
Sites, in units of the cell vectors:
Mg (0.0000, 0.0000, 0.0000)
Mg (0.0000, 0.0000, 0.5000)
Mg (0.0000, 0.2518, 0.2449)
Mg (0.0000, 0.2518, 0.7551)
Mg (0.0000, 0.7482, 0.2449)
Mg (0.0000, 0.7482, 0.7551)
Mg (0.5000, 0.0000, 0.2488)
Mg (0.5000, 0.0000, 0.7512)
Mg (0.5000, 0.2497, 0.5000)
Mg (0.5000, 0.2526, 0.0000)
Mg (0.5000, 0.5000, 0.2440)
Mg (0.5000, 0.5000, 0.7560)
Mg (0.5000, 0.7474, 0.0000)
Mg (0.5000, 0.7503, 0.5000)
Cr (0.0000, 0.5000, 0.5000)
B (0.0000, 0.5000, 0.0000)
O (0.0000, 0.0000, 0.2529)
O (0.0000, 0.0000, 0.7471)
O (0.0000, 0.2422, 0.0000)
O (0.0000, 0.2538, 0.5000)
O (0.0000, 0.5000, 0.2550)
O (0.0000, 0.5000, 0.7450)
O (0.0000, 0.7462, 0.5000)
O (0.0000, 0.7578, 0.0000)
O (0.5000, 0.0000, 0.0000)
O (0.5000, 0.0000, 0.5000)
O (0.5000, 0.2513, 0.2501)
O (0.5000, 0.2513, 0.7499)
O (0.5000, 0.5000, 0.0000)
O (0.5000, 0.5000, 0.5000)
O (0.5000, 0.7487, 0.2501)
O (0.5000, 0.7487, 0.7499)

Principal peaks in the range 10° ≤ 2θ ≤ 90°, by intensity:
Position (°2θ)	I (rel.)
42.26	100
42.43	99
42.56	98
61.43	55
61.53	55
61.66	55
77.60	50
36.51	34
14.67	13
10.34	13